For HgMoIO6, the PBE+U geometry in Alexandria gives the calculated PXRD pattern in this record (Cu Kα (λ = 1.5418 Å)).

Most intense lines, 10° ≤ 2θ ≤ 90°, low angle first:
21.26 deg, intensity 66, hkl 0 1 1; 22.07 deg, intensity 45, hkl 1 1 1; 24.80 deg, intensity 100, hkl 1 1 0; 28.03 deg, intensity 21, hkl 0 1 -1; 28.67 deg, intensity 31, hkl 1 -1 1; 31.17 deg, intensity 33, hkl 1 0 -1; 32.87 deg, intensity 34, hkl 2 0 1; 33.03 deg, intensity 28, hkl 1 0 2; 33.91 deg, intensity 25, hkl 0 2 0; 39.91 deg, intensity 26, hkl 1 2 2

Atomic structure:
Unit cell a=5.5129 b=5.5404 c=5.6933 alpha=72.68 beta=62.50 gamma=82.09
Positions (direct):
Hg 0.0000 0.0000 0.0000
Mo 0.6742 0.4619 0.6306
I 0.3847 0.4942 0.2716
O 0.0040 0.2855 0.6719
O 0.0129 0.7059 0.3175
O 0.4182 0.2633 0.9196
O 0.4326 0.6999 0.4614
O 0.6116 0.6860 0.9116
O 0.6882 0.3004 0.3499